1.
This entry pairs a crystal structure of YCo2BC with its simulated powder X-ray diffraction pattern. Radiation: Cu Kα (weighted mean of Kα1 and Kα2). Structure: a DFT-relaxed cell (GGA-PBE, Alexandria).
Intensities are scaled so that the largest is 100.

Cell and atoms:
```
10
Lattice="1.769 -5.010 0.000 1.769 5.010 0.000 0.000 0.000 6.529" Properties=species:S:1:pos:R:3 pbc="T T T"
Y 1.769 4.484 4.897
Y 1.769 -4.484 1.632
Co 1.769 1.722 3.668
Co 1.769 1.722 6.126
Co 1.769 -1.722 0.403
Co 1.769 -1.722 2.861
B 1.769 2.710 1.632
B 1.769 -2.710 4.897
C 1.769 0.000 0.000
C 1.769 0.000 3.265
```

Largest 10 diffraction maxima, by angle, 15° ≤ 2θ ≤ 90°:
2theta, d (Å), intensity
30.07, 2.971, 27
32.74, 2.735, 29
37.01, 2.429, 51
38.55, 2.335, 100
39.59, 2.277, 20
45.43, 1.996, 24
51.66, 1.769, 19
62.49, 1.486, 16
69.01, 1.361, 17
71.20, 1.324, 14

---

2.
This entry pairs a crystal structure of PrPu6Ge6 with its simulated powder X-ray diffraction pattern. Radiation: Cu Kα (weighted mean of Kα1 and Kα2). Structure: a DFT-relaxed cell (GGA-PBE, Alexandria).
Intensities are scaled so that the largest is 100.

Cell and atoms:
```
13
Lattice="6.077 0.000 0.000 -3.038 5.263 0.000 0.000 0.000 9.971" Properties=species:S:1:pos:R:3 pbc="T T T"
Pr 0.000 0.000 0.000
Pu -1.519 2.631 2.519
Pu -1.519 2.631 7.452
Pu 3.038 0.000 2.519
Pu 3.038 0.000 7.452
Pu 1.519 2.631 2.519
Pu 1.519 2.631 7.452
Ge 0.000 0.000 2.963
Ge 0.000 0.000 7.008
Ge 0.000 3.508 0.000
Ge 0.000 3.508 4.985
Ge 3.038 1.754 0.000
Ge 3.038 1.754 4.985
```

Largest 10 diffraction maxima, by angle, 15° ≤ 2θ ≤ 90°:
2theta, d (Å), intensity
16.85, 5.263, 17
17.79, 4.985, 55
34.07, 2.631, 71
34.57, 2.595, 35
36.03, 2.493, 31
38.69, 2.327, 100
50.43, 1.810, 42
60.99, 1.519, 23
66.55, 1.405, 17
72.92, 1.297, 25

---

3.
This entry pairs a crystal structure of K2LiTe4As with its simulated powder X-ray diffraction pattern. Radiation: Cu Kα (weighted mean of Kα1 and Kα2). Structure: a DFT-relaxed cell (GGA-PBE, Alexandria).
Intensities are scaled so that the largest is 100.

Cell and atoms:
```
16
Lattice="0.000 8.484 12.780 2.780 0.000 12.780 2.780 8.484 0.000" Properties=species:S:1:pos:R:3 pbc="T T T"
K 2.085 6.363 1.372
K 3.475 10.605 7.761
K 2.085 6.363 17.798
K 3.475 10.605 24.188
Li 0.695 2.121 3.195
Li 4.866 14.847 22.364
Te 3.206 4.643 7.804
Te 3.206 8.083 11.365
Te 4.596 8.885 17.755
Te 4.596 12.325 14.194
Te 0.965 4.643 11.365
Te 0.965 8.083 7.804
Te 2.355 8.885 14.194
Te 2.355 12.325 17.755
As 2.085 6.363 9.585
As 3.475 10.605 15.975
```

Largest 10 diffraction maxima, by angle, 15° ≤ 2θ ≤ 90°:
2theta, d (Å), intensity
17.14, 5.175, 51
20.94, 4.242, 14
22.69, 3.918, 15
24.77, 3.595, 100
27.93, 3.195, 23
28.49, 3.133, 23
35.16, 2.552, 19
38.20, 2.356, 23
38.67, 2.328, 24
39.01, 2.309, 22

---

4.
This entry pairs a crystal structure of Pr8DyY4 with its simulated powder X-ray diffraction pattern. Radiation: Cu Kα (weighted mean of Kα1 and Kα2). Structure: a DFT-relaxed cell (GGA-PBE, Alexandria).
Intensities are scaled so that the largest is 100.

Cell and atoms:
```
13
Lattice="3.786 -5.804 0.000 3.786 5.804 0.000 0.000 0.000 10.638" Properties=species:S:1:pos:R:3 pbc="T T T"
Pr 3.786 3.056 2.060
Pr 3.786 3.056 8.578
Pr 2.159 0.000 3.103
Pr 2.159 0.000 7.536
Pr 5.412 0.000 3.103
Pr 5.412 0.000 7.536
Pr 3.786 -3.056 2.060
Pr 3.786 -3.056 8.578
Dy 0.000 0.000 5.319
Y 0.000 0.000 0.000
Y 1.893 2.902 5.319
Y 1.893 -2.902 5.319
Y 3.786 0.000 0.000
```

Largest 10 diffraction maxima, by angle, 15° ≤ 2θ ≤ 90°:
2theta, d (Å), intensity
16.67, 5.319, 11
24.97, 3.567, 15
28.14, 3.171, 12
29.52, 3.026, 41
30.81, 2.902, 41
32.88, 2.724, 100
49.12, 1.855, 13
56.12, 1.639, 20
57.42, 1.605, 10
59.11, 1.563, 15

---

5.
This entry pairs a crystal structure of PuCd6Hg2 with its simulated powder X-ray diffraction pattern. Radiation: Cu Kα (weighted mean of Kα1 and Kα2). Structure: a DFT-relaxed cell (GGA-PBE, Alexandria).
Intensities are scaled so that the largest is 100.

Cell and atoms:
```
9
Lattice="4.432 0.000 0.000 0.000 4.432 0.000 0.000 0.000 11.105" Properties=species:S:1:pos:R:3 pbc="T T T"
Pu 0.000 0.000 0.000
Cd 0.000 0.000 5.553
Cd 0.000 2.216 3.319
Cd 0.000 2.216 7.786
Cd 2.216 0.000 3.319
Cd 2.216 0.000 7.786
Cd 2.216 2.216 5.553
Hg 2.216 2.216 1.404
Hg 2.216 2.216 9.701
```

Largest 10 diffraction maxima, by angle, 15° ≤ 2θ ≤ 90°:
2theta, d (Å), intensity
29.62, 3.016, 33
31.49, 2.841, 44
32.82, 2.729, 100
37.61, 2.392, 43
38.25, 2.353, 39
40.71, 2.217, 81
52.36, 1.747, 22
57.10, 1.613, 25
58.92, 1.568, 37
69.13, 1.359, 22

---

6.
This entry pairs a crystal structure of CaBi3Au8 with its simulated powder X-ray diffraction pattern. Radiation: Cu Kα (weighted mean of Kα1 and Kα2). Structure: a DFT-relaxed cell (GGA-PBE, Alexandria).
Intensities are scaled so that the largest is 100.

Cell and atoms:
```
12
Lattice="2.852 1.646 9.376 -2.852 1.646 9.376 0.000 -3.293 9.376" Properties=species:S:1:pos:R:3 pbc="T T T"
Ca 0.000 0.000 0.000
Bi 0.000 0.000 3.590
Bi 0.000 0.000 14.025
Bi 0.000 0.000 17.434
Au -1.430 -0.826 11.065
Au 0.000 -1.657 6.443
Au -1.435 0.828 6.443
Au 0.000 0.000 8.771
Au 1.430 -0.826 11.065
Au 0.000 1.651 11.065
Au 1.435 0.828 6.443
Au 0.000 0.000 22.803
```

Largest 10 diffraction maxima, by angle, 15° ≤ 2θ ≤ 90°:
2theta, d (Å), intensity
31.23, 2.864, 14
31.37, 2.852, 14
36.77, 2.444, 33
36.91, 2.435, 100
38.40, 2.344, 16
38.64, 2.330, 47
59.46, 1.554, 34
65.13, 1.432, 20
65.46, 1.426, 20
78.52, 1.218, 12